Diffraction record for DyTlRh. The powder XRD pattern is computed, not measured: it uses a crystal structure in Alexandria, relaxed with PBE and Cu Kα, 1.54184 Å.

Atomic structure:
```
DyTlRh
1.0
2.250 -4.847 0.000
2.250 4.847 0.000
0.000 0.000 6.052
Dy Tl Rh
2 2 2
direct
0.201 0.799 0.750 Dy
0.799 0.201 0.250 Dy
0.500 0.500 0.000 Tl
0.500 0.500 0.500 Tl
0.106 0.894 0.250 Rh
0.894 0.106 0.750 Rh
```

Peak list (10 most intense, 2θ = 15–90°, low angle first)
| d_spacing | intensity |
| --- | --- |
| 3.384 | 17 |
| 2.625 | 78 |
| 2.567 | 49 |
| 2.431 | 100 |
| 2.408 | 33 |
| 2.250 | 54 |
| 1.692 | 29 |
| 1.535 | 15 |
| 1.331 | 15 |
| 1.311 | 20 |